Simulated powder diffractogram
Compound: CdAg
Radiation: copper Kα
Structure: the GGA-PBE geometry in the Materials Project

Main lines, in order of rising 2θ (2θ from 10° to 80°):
2θ/deg  d (Å)  Rel. int.  (hkl)
32.64  2.744  13  0 0 2
34.19  2.623  26  0 1 1
37.43  2.403  38  2 0 0
37.76  2.383  58  1 0 2
39.13  2.302  100  1 1 1
51.59  1.772  15  2 1 1
59.25  1.560  19  0 1 3
67.74  1.383  10  3 0 2
68.66  1.367  18  3 1 1
72.21  1.308  21  2 1 3
74.88  1.268  9  2 2 0
75.09  1.265  14  1 2 2

Crystal structure
a b c (Å): 4.806 2.986 5.487
angles (deg): 90.00 90.00 90.00
Positions (direct):
Cd: 0.000 0.000 0.000
Cd: 0.000 0.500 0.500
Ag: 0.500 0.000 0.670
Ag: 0.500 0.500 0.170


Simulated powder diffractogram
Compound: Sc3Mn3Al7Si5
Radiation: copper Kα
Structure: the GGA-PBE geometry in the Materials Project

Main lines, in order of rising 2θ (2θ from 10° to 80°):
2θ/deg  d (Å)  Rel. int.  (hkl)
12.32  7.184  56  1 0 0
31.92  2.804  17  2 0 2
38.77  2.323  59  2 1 2
38.93  2.314  38  3 0 1
39.20  2.298  94  2 0 3
40.21  2.243  27  0 0 4
43.65  2.074  100  2 2 0
47.81  1.902  26  2 0 4
48.35  1.882  30  2 2 2
48.72  1.869  15  3 0 3
50.10  1.821  16  3 1 2
60.83  1.523  14  2 2 4

Crystal structure
a b c (Å): 8.295 8.295 8.972
angles (deg): 90.00 90.00 120.00
Positions (direct):
Sc: 0.200 0.401 0.250
Sc: 0.200 0.800 0.250
Sc: 0.401 0.200 0.750
Sc: 0.599 0.800 0.250
Sc: 0.800 0.200 0.750
Sc: 0.800 0.599 0.750
Mn: 0.000 0.500 0.000
Mn: 0.000 0.500 0.500
Mn: 0.500 0.000 0.000
Mn: 0.500 0.000 0.500
Mn: 0.500 0.500 0.000
Mn: 0.500 0.500 0.500
Al: 0.000 0.000 0.250
Al: 0.000 0.000 0.750
Al: 0.164 0.327 0.580
Al: 0.164 0.327 0.920
Al: 0.164 0.836 0.580
Al: 0.164 0.836 0.920
Al: 0.327 0.164 0.080
Al: 0.327 0.164 0.420
Al: 0.673 0.836 0.580
Al: 0.673 0.836 0.920
Al: 0.836 0.164 0.080
Al: 0.836 0.164 0.420
Al: 0.836 0.673 0.080
Al: 0.836 0.673 0.420
Si: 0.120 0.560 0.750
Si: 0.333 0.667 0.040
Si: 0.333 0.667 0.460
Si: 0.440 0.560 0.750
Si: 0.440 0.880 0.750
Si: 0.560 0.120 0.250
Si: 0.560 0.440 0.250
Si: 0.667 0.333 0.540
Si: 0.667 0.333 0.960
Si: 0.880 0.440 0.250